Calculated X-ray diffraction stick pattern of RbCdInHg3 for Cu Ka, from a structure optimized by DFT (PBE).
Lines closer than 0.1° are merged.

The 10 most intense peaks (10 to 90 degrees two-theta), most intense first:
2θ (°)  I (rel.)
32.8  1000
12.7  621
25.4  555
37.1  396
27.3  387
49.3  332
27.9  301
33.9  264
17.4  245
44.7  233

Atomic structure:
```
RbCdInHg3
1.0
3.694 -6.968 0.000
3.694 6.968 0.000
0.000 0.000 8.108
Rb Cd In Hg
2 2 2 6
Direct
0.202 0.798 0.750
0.798 0.202 0.250
0.117 0.883 0.250
0.883 0.117 0.750
0.462 0.538 0.750
0.538 0.462 0.250
0.213 0.213 0.000
0.213 0.213 0.500
0.324 0.676 0.250
0.676 0.324 0.750
0.787 0.787 0.000
0.787 0.787 0.500
```

Calculated X-ray diffraction stick pattern of La4Ag2Se7 for Cu Ka, from a structure optimized by DFT (PBE).
Lines closer than 0.1° are merged.

The 10 most intense peaks (10 to 90 degrees two-theta), most intense first:
2θ (°)  I (rel.)
31.0  1000
31.9  981
31.4  678
31.5  523
23.7  490
37.2  434
36.9  380
45.9  339
37.9  324
37.4  297

Atomic structure:
```
La4Ag2Se7
1.0
7.551 0.000 0.000
0.000 12.762 0.000
-2.653 0.000 7.570
La Ag Se
8 4 14
Direct
0.000 0.057 0.000
0.000 0.943 0.500
0.436 0.144 0.783
0.436 0.856 0.283
0.637 0.213 0.334
0.637 0.787 0.834
0.934 0.371 0.788
0.934 0.629 0.288
0.152 0.302 0.307
0.152 0.698 0.807
0.547 0.462 0.161
0.547 0.538 0.661
0.013 0.166 0.648
0.013 0.834 0.148
0.276 0.074 0.368
0.276 0.926 0.868
0.315 0.303 0.038
0.315 0.697 0.538
0.498 0.337 0.586
0.498 0.663 0.086
0.684 0.011 0.166
0.684 0.989 0.666
0.791 0.249 0.024
0.791 0.751 0.524
0.885 0.415 0.401
0.885 0.585 0.901
```

Calculated X-ray diffraction stick pattern of Li12Cu2Ag for Cu Ka, from a structure optimized by DFT (PBE).
Lines closer than 0.1° are merged.

The 10 most intense peaks (10 to 90 degrees two-theta), most intense first:
2θ (°)  I (rel.)
17.7  1000
19.2  796
26.2  743
42.5  535
14.3  420
38.2  387
18.4  336
35.9  335
37.5  304
22.9  285

Atomic structure:
```
Li12Cu2Ag
1.0
2.733 0.000 0.000
0.000 5.000 0.000
0.000 0.000 18.517
Li Cu Ag
12 2 1
Direct
0.000 0.000 0.073
0.000 0.000 0.927
0.000 0.247 0.500
0.000 0.753 0.500
0.500 0.000 0.223
0.500 0.000 0.362
0.500 0.000 0.638
0.500 0.000 0.777
0.500 0.500 0.134
0.500 0.500 0.373
0.500 0.500 0.627
0.500 0.500 0.866
0.000 0.500 0.256
0.000 0.500 0.744
0.000 0.500 0.000
```

Calculated X-ray diffraction stick pattern of Ho2Sc3Co2 for Cu Ka, from a structure optimized by DFT (PBE).
Lines closer than 0.1° are merged.

The 10 most intense peaks (10 to 90 degrees two-theta), most intense first:
2θ (°)  I (rel.)
37.0  1000
33.4  526
23.6  356
35.4  316
31.1  280
17.4  241
31.9  231
34.9  221
32.5  215
16.1  183

Atomic structure:
```
Ho2Sc3Co2
1.0
11.384 0.000 0.000
0.000 3.491 0.000
-3.782 0.000 7.543
Ho Sc Co
4 6 4
Direct
0.163 0.000 0.299
0.337 0.500 0.701
0.663 0.500 0.299
0.837 0.000 0.701
0.000 0.500 0.500
0.122 0.500 0.930
0.378 0.000 0.070
0.500 0.000 0.500
0.622 0.000 0.930
0.878 0.500 0.070
0.168 0.000 0.737
0.332 0.500 0.263
0.668 0.500 0.737
0.832 0.000 0.263
```

Calculated X-ray diffraction stick pattern of AcTbPuO6 for Cu Ka, from a structure optimized by DFT (PBE).
Lines closer than 0.1° are merged.

The 10 most intense peaks (10 to 90 degrees two-theta), most intense first:
2θ (°)  I (rel.)
24.7  1000
30.6  530
47.1  442
50.9  288
39.7  286
54.4  160
66.3  119
69.4  118
74.7  112
34.9  107

Atomic structure:
```
AcTbPuO6
1.0
5.844 0.000 0.000
-2.922 5.061 0.000
0.000 0.000 10.279
Ac Tb Pu O
2 2 2 12
Direct
0.000 0.000 0.000
0.000 0.000 0.500
0.333 0.667 0.250
0.667 0.333 0.750
0.333 0.667 0.750
0.667 0.333 0.250
0.027 0.374 0.641
0.027 0.653 0.859
0.347 0.374 0.859
0.347 0.973 0.641
0.374 0.027 0.141
0.374 0.347 0.359
0.626 0.653 0.641
0.626 0.973 0.859
0.653 0.027 0.359
0.653 0.626 0.141
0.973 0.347 0.141
0.973 0.626 0.359
```

Calculated X-ray diffraction stick pattern of LiPr2Br2O2 for Cu Ka, from a structure optimized by DFT (PBE).
Lines closer than 0.1° are merged.

The 10 most intense peaks (10 to 90 degrees two-theta), most intense first:
2θ (°)  I (rel.)
29.2  1000
26.3  870
33.5  584
44.5  486
38.8  362
58.9  324
36.5  224
54.1  178
51.5  163
45.2  150

Atomic structure:
```
LiPr2Br2O2
1.0
4.070 0.000 0.000
-2.035 3.525 0.000
0.000 0.000 12.320
Li Pr Br O
1 2 2 2
Direct
0.000 0.000 0.000
0.333 0.667 0.617
0.667 0.333 0.383
0.000 0.000 0.211
0.000 0.000 0.789
0.333 0.667 0.423
0.667 0.333 0.577
```